Entry 1:
Calculated PXRD pattern
Compound: BaBe5As4
Radiation: λ = 1.5418 Å (Cu Kα)
Structure: a crystal structure in Alexandria, relaxed with GGA-PBE
Kinematic intensities with the Lorentz-polarization factor, no thermal factor.

Cell and atoms:
```
data_BaBe5As4
_chemical_formula_sum 'Ba2 Be10 As8'
_symmetry_space_group_name_H-M 'P 4/n m m'
_symmetry_Int_Tables_number 129
_cell_length_a 9.0571
_cell_length_b 9.0571
_cell_length_c 4.6344
_cell_angle_alpha 90.00
_cell_angle_beta 90.00
_cell_angle_gamma 90.00
loop_
_symmetry_equiv_pos_as_xyz
'x,y,z'
'-x,-y,-z'
'-y+1/2,x,z'
'y+1/2,-x,-z'
'-x+1/2,-y+1/2,z'
'x+1/2,y+1/2,-z'
'y,-x+1/2,z'
'-y,x+1/2,-z'
'x+1/2,-y,-z'
'-x+1/2,y,z'
'-y,-x,-z'
'y,x,z'
'-x,y+1/2,-z'
'x,-y+1/2,z'
'y+1/2,x+1/2,-z'
'-y+1/2,-x+1/2,z'
loop_
_atom_site_label
_atom_site_type_symbol
_atom_site_fract_x
_atom_site_fract_y
_atom_site_fract_z
Ba1 Ba 0.2500 0.7500 0.0000
Be1 Be 0.0121 0.0121 0.2402
Be2 Be 0.2500 0.2500 0.6257
As1 As 0.0160 0.2500 0.4985
```

Largest 8 diffraction maxima, in order of rising 2θ, 2θ = 10–90°:
2θ (°)  d [Å]  Rel. int.  hkl
13.83  6.404  19.8  1 1 0
19.15  4.634  19.3  0 0 1
23.70  3.754  38.2  1 1 1
31.23  2.864  16.4  3 1 0
34.03  2.634  100.0  2 2 1
39.81  2.264  36.2  4 0 0
56.85  1.619  19.9  4 0 2
68.59  1.368  22.7  6 2 1

---

Entry 2:
Calculated PXRD pattern
Compound: Ba2BeAsP
Radiation: λ = 1.5418 Å (Cu Kα)
Structure: a crystal structure in Alexandria, relaxed with GGA-PBE
Kinematic intensities with the Lorentz-polarization factor, no thermal factor.

Cell and atoms:
```
data_Ba2BeAsP
_chemical_formula_sum 'Ba4 Be2 As2 P2'
_symmetry_space_group_name_H-M 'P m m n'
_symmetry_Int_Tables_number 59
_cell_length_a 4.0772
_cell_length_b 8.7512
_cell_length_c 7.9642
_cell_angle_alpha 90.00
_cell_angle_beta 90.00
_cell_angle_gamma 90.00
loop_
_symmetry_equiv_pos_as_xyz
'x,y,z'
'-x,-y,-z'
'-x+1/2,-y+1/2,z'
'x+1/2,y+1/2,-z'
'x+1/2,-y,-z'
'-x+1/2,y,z'
'-x,y+1/2,-z'
'x,-y+1/2,z'
loop_
_atom_site_label
_atom_site_type_symbol
_atom_site_fract_x
_atom_site_fract_y
_atom_site_fract_z
Ba1 Ba 0.2500 0.0254 0.2378
Be1 Be 0.2500 0.2500 0.6036
As1 As 0.2500 0.2500 0.8835
P1 P 0.2500 0.7500 0.5319
```

Largest 8 diffraction maxima, in order of rising 2θ, 2θ = 10–90°:
2θ (°)  d [Å]  Rel. int.  hkl
22.33  3.982  31.1  0 0 2
24.53  3.629  46.9  1 0 1
30.35  2.945  48.7  0 2 2
32.04  2.793  100.0  1 2 1
40.55  2.225  31.4  1 0 3
44.44  2.038  18.9  2 0 0
50.33  1.813  19.8  0 2 4
54.76  1.676  17.8  2 2 2

---

Entry 3:
Calculated PXRD pattern
Compound: Rb2BaBeAs2
Radiation: λ = 1.5418 Å (Cu Kα)
Structure: a crystal structure in Alexandria, relaxed with GGA-PBE
Kinematic intensities with the Lorentz-polarization factor, no thermal factor.

Cell and atoms:
```
data_Rb2BaBeAs2
_chemical_formula_sum 'Rb8 Ba4 Be4 As8'
_symmetry_space_group_name_H-M 'I b a m'
_symmetry_Int_Tables_number 72
_symmetry_space_group_name_Hall '-I 2 2c'
_cell_length_a 7.5370
_cell_length_b 15.1016
_cell_length_c 7.1100
_cell_angle_alpha 90.00
_cell_angle_beta 90.00
_cell_angle_gamma 90.00
loop_
_atom_site_label
_atom_site_type_symbol
_atom_site_fract_x
_atom_site_fract_y
_atom_site_fract_z
Rb1 Rb 0.1974 0.1825 0.0000
Ba1 Ba 0.0000 0.5000 0.2500
Be1 Be 0.0000 0.0000 0.2500
As1 As 0.1762 0.0742 0.5000
```

Largest 8 diffraction maxima, in order of rising 2θ, 2θ = 10–90°:
2θ (°)  d [Å]  Rel. int.  hkl
11.72  7.551  34.2  0 2 0
21.22  4.186  35.0  1 3 0
26.43  3.372  22.3  2 2 0
28.38  3.145  54.6  1 1 2
29.29  3.049  100.0  1 4 1
34.68  2.586  64.2  2 0 2
36.25  2.478  33.2  3 1 0
46.84  1.940  26.7  1 4 3